(1)
Structure and simulated XRD peak list of Cs2KTlBr5 (DFT lattice parameters and positions (PBE); Cu Kα (weighted mean of Kα1 and Kα2)).
Intensities are scaled so that the largest is 100.

Cell and atoms:
Cell lengths 5.230, 20.118, 14.585 Å; angles 90.00, 90.00, 90.00 degrees
Space group Cmc2_1 (No. 36)
Symmetry-distinct sites (fractional):
Cs 0.000 0.114 0.000 (multiplicity 4)
Cs 0.000 0.145 0.621 (multiplicity 4)
K 0.000 0.212 0.327 (multiplicity 4)
Tl 0.000 0.470 0.761 (multiplicity 4)
Br 0.000 0.042 0.334 (multiplicity 4)
Br 0.000 0.290 0.969 (multiplicity 4)
Br 0.000 0.329 0.684 (multiplicity 4)
Br 0.000 0.378 0.310 (multiplicity 4)
Br 0.000 0.488 0.077 (multiplicity 4)

Peak list (12 most intense, 2θ from 10° to 90°, in order of rising 2θ)
2θ/deg, d [Å], I (rel.), (hkl)
15.00, 5.904, 27.7, 0 2 2
21.39, 4.155, 65.8, 1 1 2
24.80, 3.590, 20.9, 1 3 2
25.41, 3.505, 100.0, 1 1 3
27.29, 3.268, 58.5, 0 6 1
27.98, 3.189, 24.1, 1 5 0
33.61, 2.667, 25.6, 1 5 3
34.30, 2.615, 50.9, 2 0 0
40.35, 2.235, 23.6, 0 8 3
41.21, 2.191, 26.5, 1 1 6
43.20, 2.094, 22.6, 1 3 6
44.37, 2.042, 31.5, 2 6 1


(2)
Structure and simulated XRD peak list of CsTl2ZnAu2 (DFT lattice parameters and positions (PBE); Cu Kα (weighted mean of Kα1 and Kα2)).
Intensities are scaled so that the largest is 100.

Cell and atoms:
Cell lengths 4.928, 9.548, 8.010 Å; angles 90.00, 90.00, 90.00 degrees
Space group Pmc2_1 (No. 26)
Symmetry-distinct sites (fractional):
Cs 0.000 0.024 0.000 (multiplicity 2)
Tl 0.000 0.376 0.320 (multiplicity 2)
Tl 0.500 0.377 0.961 (multiplicity 2)
Zn 0.500 0.317 0.596 (multiplicity 2)
Au 0.000 0.332 0.715 (multiplicity 2)
Au 0.500 0.221 0.284 (multiplicity 2)

Peak list (12 most intense, 2θ from 10° to 90°, in order of rising 2θ)
2θ/deg, d [Å], I (rel.), (hkl)
23.15, 3.842, 30.4, 1 1 1
28.04, 3.183, 37.7, 0 3 0
28.31, 3.152, 62.6, 1 2 1
29.10, 3.068, 30.5, 0 2 2
30.24, 2.956, 100.0, 1 1 2
34.89, 2.571, 40.4, 0 1 3
35.39, 2.536, 38.6, 1 3 1
36.47, 2.464, 61.1, 2 0 0
39.53, 2.280, 34.3, 1 1 3
40.57, 2.224, 28.6, 1 3 2
48.06, 1.893, 50.8, 1 4 2
51.36, 1.779, 30.0, 2 1 3


(3)
Structure and simulated XRD peak list of Ac4In2Fe (DFT lattice parameters and positions (PBE); Cu Kα (weighted mean of Kα1 and Kα2)).
Intensities are scaled so that the largest is 100.

Cell and atoms:
Cell lengths 5.385, 5.385, 17.277 Å; angles 90.00, 90.00, 90.00 degrees
Space group I4/mmm (No. 139)
Symmetry-distinct sites (fractional):
Ac 0.000 0.000 0.172 (multiplicity 4)
Ac 0.000 0.500 0.000 (multiplicity 4)
In 0.000 0.000 0.364 (multiplicity 4)
Fe 0.000 0.000 0.000 (multiplicity 2)

Peak list (12 most intense, 2θ from 10° to 90°, in order of rising 2θ)
2θ/deg, d [Å], I (rel.), (hkl)
10.24, 8.638, 23.0, 0 0 2
25.57, 3.484, 100.0, 1 1 2
30.74, 2.908, 28.6, 1 0 5
31.06, 2.879, 37.4, 0 0 6
31.32, 2.856, 83.8, 1 1 4
33.28, 2.692, 82.3, 2 0 0
45.93, 1.976, 19.0, 2 1 5
46.16, 1.967, 51.0, 2 0 6
47.77, 1.904, 30.2, 2 2 0
54.96, 1.671, 25.8, 3 1 2
58.08, 1.588, 26.0, 2 2 6
58.24, 1.584, 29.6, 3 1 4


(4)
Structure and simulated XRD peak list of Rb2SiAgH6 (DFT lattice parameters and positions (PBE); Cu Kα (weighted mean of Kα1 and Kα2)).
Intensities are scaled so that the largest is 100.

Cell and atoms:
Cell lengths 5.736, 5.736, 8.317 Å; angles 90.00, 90.00, 90.00 degrees
Space group I4mm (No. 107)
Symmetry-distinct sites (fractional):
Rb 0.000 0.500 0.000 (multiplicity 4)
Si 0.000 0.000 0.250 (multiplicity 2)
Ag 0.000 0.000 0.750 (multiplicity 2)
H 0.000 0.000 0.051 (multiplicity 2)
H 0.000 0.000 0.449 (multiplicity 2)
H 0.205 0.205 0.250 (multiplicity 8)

Peak list (12 most intense, 2θ from 10° to 90°, in order of rising 2θ)
2θ/deg, d [Å], I (rel.), (hkl)
18.79, 4.722, 21.1, 1 0 1
30.79, 2.904, 100.0, 1 1 2
31.18, 2.868, 48.3, 2 0 0
36.66, 2.451, 9.1, 2 1 1
43.53, 2.079, 9.8, 0 0 4
44.68, 2.028, 18.2, 2 2 0
54.51, 1.683, 18.8, 2 0 4
55.25, 1.663, 36.2, 3 1 2
64.15, 1.452, 11.8, 2 2 4
71.99, 1.312, 8.3, 1 1 6
88.84, 1.101, 9.9, 3 1 6
89.85, 1.092, 9.6, 4 2 4


- Which formula does entry 2 have?
  CsTl2ZnAu2